Pr7Er12Pb: calculated powder diffraction line list (Cu Ka), based on a cell relaxed with PBE.
Peak positions follow from Bragg's law for the DFT cell and can differ from measured ones.

Crystal structure
```
data_Pr7Er12Pb
_chemical_formula_sum 'Pr7 Er12 Pb1'
_cell_length_a 8.431
_cell_length_b 8.462
_cell_length_c 9.942
_cell_angle_alpha 78.63
_cell_angle_beta 72.27
_cell_angle_gamma 88.07
_symmetry_space_group_name_H-M 'P -1'
_symmetry_Int_Tables_number 2
_symmetry_space_group_name_Hall '-P 1'
loop_
_atom_site_label
_atom_site_fract_x
_atom_site_fract_y
_atom_site_fract_z
_atom_site_occupancy
Pr1 0.000 0.000 0.000 1
Pr2 0.233 0.289 0.383 1
Pr3 0.310 0.699 0.785 1
Pr4 0.413 0.643 0.117 1
Er1 0.050 0.979 0.656 1
Er2 0.068 0.379 0.725 1
Er3 0.130 0.367 0.060 1
Er4 0.200 0.720 0.442 1
Er5 0.342 0.042 0.126 1
Er6 0.410 0.118 0.681 1
Pb1 0.500 0.500 0.500 1
```

Largest 10 diffraction maxima, sorted by position, 2θ = 10–80°:
| hkl | 2θ (°) | Rel. int. |
| --- | --- | --- |
| 2 1 -1 | 29.81 | 228 |
| 1 -2 2 | 31.30 | 650 |
| 2 2 0 | 31.45 | 838 |
| 1 2 3 | 31.59 | 1000 |
| 3 0 1 | 31.89 | 317 |
| 0 3 0 | 32.39 | 310 |
| -2 2 1 | 32.85 | 560 |
| 3 0 2 | 33.17 | 759 |
| 1 0 -3 | 34.04 | 926 |
| 3 -1 0 | 34.93 | 221 |

Pr12Er7Pb: calculated powder diffraction line list (Cu Ka), based on a cell relaxed with PBE.
Peak positions follow from Bragg's law for the DFT cell and can differ from measured ones.

Crystal structure
```
data_Pr12Er7Pb
_chemical_formula_sum 'Pr24 Er14 Pb2'
_cell_length_a 11.667
_cell_length_b 11.667
_cell_length_c 11.667
_cell_angle_alpha 90.00
_cell_angle_beta 90.00
_cell_angle_gamma 90.00
_symmetry_space_group_name_H-M 'I m -3 m'
_symmetry_Int_Tables_number 229
_symmetry_space_group_name_Hall '-I 4 2 3'
loop_
_atom_site_label
_atom_site_fract_x
_atom_site_fract_y
_atom_site_fract_z
_atom_site_occupancy
Pr1 0.000 0.220 0.220 1
Er1 0.000 0.000 0.500 1
Er2 0.250 0.250 0.250 1
Pb1 0.000 0.000 0.000 1
```

Largest 10 diffraction maxima, sorted by position, 2θ = 10–80°:
| hkl | 2θ (°) | Rel. int. |
| --- | --- | --- |
| 1 1 0 | 10.72 | 212 |
| 2 2 0 | 21.54 | 394 |
| 2 2 2 | 26.47 | 586 |
| 4 0 0 | 30.65 | 1000 |
| 3 3 2 | 36.11 | 197 |
| 4 2 2 | 37.78 | 349 |
| 4 4 0 | 43.90 | 615 |
| 4 4 4 | 54.49 | 181 |
| 7 3 2 | 62.71 | 173 |
| 8 2 2 | 68.21 | 194 |